Starting from the PBE+U geometry in Alexandria, the powder X-ray diffraction pattern of V3CoSb2P6O24 was calculated for Cu Kα, 1.54184 Å.

Peak list (6 most intense, 15° ≤ 2θ ≤ 90°, low angle first)
2θ = 20.43°, 4.348 Å, I 100
2θ = 23.78°, 3.742 Å, I 67
2θ = 24.99°, 3.563 Å, I 29
2θ = 31.88°, 2.807 Å, I 93
2θ = 35.77°, 2.510 Å, I 38
2θ = 48.66°, 1.871 Å, I 34

Cell and atoms:
```
V3CoSb2P6O24
1.0
4.348 2.510 7.353
-4.348 2.510 7.353
0.000 -5.020 7.353
V Co Sb P O
3 1 2 6 24
Cartesian
0.000 0.000 0.000
0.000 0.000 4.538
0.000 0.000 15.538
0.000 0.000 11.130
0.000 0.000 8.067
0.000 0.000 18.985
-3.092 0.330 9.562
-1.265 -2.185 13.210
1.260 -2.843 9.562
-1.259 2.188 13.210
1.832 2.512 9.562
2.525 -0.004 13.210
-3.447 1.081 8.274
-0.895 -1.276 5.848
-2.861 -2.387 13.244
-3.532 1.028 10.844
0.787 -3.526 8.274
-1.507 0.212 9.535
-0.657 1.413 5.848
-1.034 -1.419 11.918
0.876 -3.573 10.844
0.570 -1.411 9.535
1.552 -0.137 5.848
-0.825 -1.497 14.500
-0.711 1.605 11.918
-1.554 -0.118 16.915
0.937 1.199 9.535
-0.884 1.462 14.500
1.746 -0.186 11.918
-0.637 3.671 13.244
0.879 -1.286 16.915
2.660 2.444 8.274
1.708 0.034 14.500
3.498 -1.284 13.244
0.675 1.404 16.915
2.656 2.545 10.844
```